# 1
Computed X-ray diffraction stick pattern of Li5Cd4Si for Cu Kα, from the GGA-PBE geometry in Alexandria.
Neutral-atom scattering factors, no anomalous dispersion.

Top 6 peaks for 2θ from 10° to 90°, by angle:
d/Å, 2theta, Rel. int., index
3.651, 24.38, 68, 0 1 0
3.098, 28.82, 87, 1 0 0
2.362, 38.10, 100, 1 1 0
2.191, 41.21, 39, 1 0 5
1.878, 48.46, 39, 1 1 5
1.295, 73.05, 24, 2 1 5

Structural model:
abc: 3.098 3.651 15.490
angles: 90.00 90.00 90.00
Space group Pmmm (No. 47)
Unique sites:
Li: 0.000 0.000 0.000 [1 per cell]
Li: 0.000 0.000 0.207 [2 per cell]
Li: 0.000 0.000 0.416 [2 per cell]
Cd: 0.500 0.500 0.104 [2 per cell]
Cd: 0.500 0.500 0.311 [2 per cell]
Si: 0.500 0.500 0.500 [1 per cell]


# 2
Computed X-ray diffraction stick pattern of TlB3Rh6 for Cu Kα, from the GGA-PBE geometry in Alexandria.
Neutral-atom scattering factors, no anomalous dispersion.

Top 6 peaks for 2θ from 10° to 90°, by angle:
d/Å, 2theta, Rel. int., index
2.511, 35.76, 65, 0 0 6
2.434, 36.93, 100, 2 -1 3
2.380, 37.80, 68, 0 2 1
2.295, 39.25, 57, 2 0 2
2.030, 44.64, 42, 0 2 4
1.341, 70.19, 40, 2 2 3

Structural model:
abc: 5.5659 5.5659 15.0660
angles: 90.00 90.00 120.00
Space group R3 (No. 146, hexagonal axes)
Unique sites:
Tl: 0.0000 0.0000 0.0000 [3 per cell]
B: 0.0000 0.0000 0.2174 [3 per cell]
B: 0.0000 0.0000 0.5563 [3 per cell]
B: 0.0000 0.0000 0.7519 [3 per cell]
Rh: 0.0018 0.3318 0.4851 [9 per cell]
Rh: 0.0016 0.5273 0.9844 [9 per cell]


# 3
Computed X-ray diffraction stick pattern of Pm7Sb2C2 for Cu Kα, from the GGA-PBE geometry in Alexandria.
Neutral-atom scattering factors, no anomalous dispersion.

Top 6 peaks for 2θ from 10° to 90°, by angle:
d/Å, 2theta, Rel. int., index
3.129, 28.53, 35, 1 2 1
2.877, 31.09, 39, 1 1 2
2.837, 31.53, 100, 0 3 3
2.708, 33.08, 37, 0 6 0
2.603, 34.46, 77, 1 4 1
1.817, 50.22, 34, 1 7 2

Structural model:
abc: 3.604 16.248 9.993
angles: 90.00 90.00 90.00
Space group Imm2 (No. 44)
Unique sites:
Pm: 0.000 0.000 0.000 [2 per cell]
Pm: 0.000 0.134 0.424 [4 per cell]
Pm: 0.000 0.308 0.617 [4 per cell]
Pm: 0.000 0.340 0.294 [4 per cell]
Sb: 0.000 0.000 0.679 [2 per cell]
Sb: 0.000 0.500 0.759 [2 per cell]
C: 0.000 0.264 0.864 [4 per cell]